# 1
Simulated powder diffraction line list of Na4NbN3 for Cu Kα, 1.54184 Å, from a DFT-relaxed cell (PBE, OQMD).
Peak positions follow from Bragg's law for the DFT cell and can differ from measured ones.

Structure:
```
data_Na4NbN3
_cell_length_a 10.3229
_cell_length_b 6.6642
_cell_length_c 6.9936
_cell_angle_alpha 90.00
_cell_angle_beta 101.35
_cell_angle_gamma 90.00
_space_group_name_H-M_alt 'C 1 c 1'
_space_group_IT_number 9
loop_
_space_group_symop_operation_xyz
'x,y,z'
'x,-y,z+1/2'
'x+1/2,y+1/2,z'
'x+1/2,-y+1/2,z+1/2'
loop_
_atom_site_label
_atom_site_fract_x
_atom_site_fract_y
_atom_site_fract_z
_atom_site_occupancy
Na1 0.0000 0.0930 0.0000 1
Na2 0.1293 0.3039 0.7377 1
Na3 0.1752 0.2173 0.3870 1
Na4 0.3000 0.3438 0.0756 1
Nb1 0.3948 0.0859 0.7358 1
N1 0.2221 0.0174 0.1492 1
N2 0.3717 0.3715 0.7623 1
N3 0.4941 0.0346 0.5024 1
```

Principal peaks in the range 2θ from 10° to 80°, low angle first:
hkl	2θ (°)	I/Imax
1 1 0	15.92	100
2 0 0	17.53	53
1 1 -2	29.07	40
1 1 2	32.14	59
2 2 -1	33.41	66
3 1 1	34.59	55



# 2
Simulated powder diffraction line list of NaOsNO for Cu Kα, 1.54184 Å, from a DFT-relaxed cell (PBE, OQMD).
Peak positions follow from Bragg's law for the DFT cell and can differ from measured ones.

Structure:
```
data_NaOsNO
_cell_length_a 3.6443
_cell_length_b 5.5716
_cell_length_c 5.7990
_cell_angle_alpha 90.00
_cell_angle_beta 90.00
_cell_angle_gamma 90.00
_space_group_name_H-M_alt 'P m c 21'
_space_group_IT_number 26
loop_
_space_group_symop_operation_xyz
'x,y,z'
'-x,-y,z+1/2'
'-x,y,z'
'x,-y,z+1/2'
loop_
_atom_site_label
_atom_site_fract_x
_atom_site_fract_y
_atom_site_fract_z
_atom_site_occupancy
Na1 0.0000 0.1635 0.0000 1
Os1 0.5000 0.3596 0.5214 1
N1 0.5000 0.3654 0.2056 1
O1 0.0000 0.2424 0.5952 1
```

Principal peaks in the range 2θ from 10° to 80°, low angle first:
hkl	2θ (°)	I/Imax
0 1 0	15.91	79
0 1 1	22.13	100
1 0 0	24.43	55
1 1 0	29.28	56
1 1 1	33.19	87
0 2 1	35.76	65